# 1
For Gd2Si4CN6, a DFT-relaxed cell (GGA-PBE, Alexandria) gives the computed X-ray diffraction stick pattern in this record (a wavelength of 1.5418 Å).
Neutral-atom scattering factors, no anomalous dispersion.

Atomic structure:
```
52
Lattice="5.9882 0.0000 0.0000 0.0000 10.0393 0.0000 -5.9399 0.0000 10.4397" Properties=species:S:1:pos:R:3 pbc="T T T"
Gd -1.5384 0.8791 4.3848
Gd -4.5083 4.1405 9.6046
Gd -4.3599 0.6466 9.4347
Gd -1.3900 4.3731 4.2148
Gd 1.4383 5.6662 6.2249
Gd 4.4082 9.3927 1.0051
Gd 4.5566 5.8988 0.8351
Gd 1.5867 9.1602 6.0549
Si -2.8709 2.2998 6.8873
Si 0.0990 2.7199 1.6674
Si -3.0773 7.1237 8.6105
Si -0.1073 7.9353 3.3906
Si -1.4246 7.1302 6.0462
Si 1.5453 7.9288 0.8264
Si 1.4779 5.2137 2.5899
Si -1.4920 9.8453 7.8097
Si 1.5403 0.1940 2.6300
Si -1.4296 4.8256 7.8499
Si -1.4970 2.1105 9.6134
Si 1.4729 2.9091 4.3935
Si 0.1556 2.1040 7.0491
Si 3.1256 2.9156 1.8293
Si -0.0507 7.3194 8.7723
Si 2.9192 7.7395 3.5525
C 1.4058 7.0997 2.5600
C -1.5641 7.9593 7.7799
C 1.6124 2.0800 2.6598
C -1.3575 2.9396 7.8797
N -0.0022 2.1010 0.0270
N -2.9721 2.9187 5.2468
N -1.3712 2.3585 2.5485
N -4.3411 2.6612 7.7683
N -2.6105 0.5604 6.6771
N 0.3595 4.4592 1.4572
N -3.0392 5.4126 8.1903
N -0.0692 9.6463 2.9704
N -0.9610 5.4490 6.2891
N 2.0090 9.6099 1.0692
N -3.0888 7.2670 10.3371
N -0.1188 7.7919 5.1173
N 0.1671 2.2473 5.3224
N 3.1371 2.7723 0.1026
N -1.9607 0.4294 9.3705
N 1.0093 4.5903 4.1506
N 0.1175 0.3930 7.4693
N 3.0875 4.6267 2.2494
N -0.3112 5.5801 8.9825
N 2.6587 9.4789 3.7627
N 4.3894 7.3781 2.6714
N 1.4195 7.6808 7.8913
N 3.0204 7.1206 5.1929
N 0.0505 7.9384 10.4128
```

Peak list (12 most intense, 2θ from 10° to 90°, by angle)
17.0 deg, I 18
19.2 deg, I 26
29.6 deg, I 22
29.8 deg, I 42
31.8 deg, I 100
34.7 deg, I 18
34.9 deg, I 32
35.6 deg, I 14
35.8 deg, I 12
44.0 deg, I 15
53.9 deg, I 14
54.2 deg, I 18

---

# 2
For Gd2Ni4C, a DFT-relaxed cell (GGA-PBE, Alexandria) gives the computed X-ray diffraction stick pattern in this record (a wavelength of 1.5418 Å).
Neutral-atom scattering factors, no anomalous dispersion.

Atomic structure:
```
7
Lattice="-1.9186 1.9186 7.5316 1.9186 -1.9186 7.5316 1.9186 1.9186 -7.5316" Properties=species:S:1:pos:R:3 pbc="T T T"
Gd 0.0000 0.0000 2.4782
Gd 0.0000 0.0000 12.5849
Ni 1.9186 0.0000 0.0000
Ni 0.0000 0.0000 5.6518
Ni 0.0000 1.9186 0.0000
Ni 0.0000 0.0000 9.4113
C 0.0000 0.0000 7.5316
```

Peak list (12 most intense, 2θ from 10° to 90°, by angle)
29.3 deg, I 73
33.0 deg, I 53
35.2 deg, I 62
35.8 deg, I 42
38.0 deg, I 34
41.0 deg, I 100
47.4 deg, I 62
56.7 deg, I 23
60.3 deg, I 30
60.8 deg, I 35
80.1 deg, I 37
83.7 deg, I 23

---

# 3
For GdPaC2, a DFT-relaxed cell (GGA-PBE, Alexandria) gives the computed X-ray diffraction stick pattern in this record (a wavelength of 1.5418 Å).
Neutral-atom scattering factors, no anomalous dispersion.

Atomic structure:
```
4
Lattice="1.8238 1.0530 5.8856 -1.8238 1.0530 5.8856 0.0000 -2.1059 5.8856" Properties=species:S:1:pos:R:3 pbc="T T T"
Gd 0.0000 0.0000 0.0000
Pa 0.0000 0.0000 8.8284
C 0.0000 0.0000 4.2543
C 0.0000 0.0000 13.4025
```

Peak list (12 most intense, 2θ from 10° to 90°, by angle)
30.0 deg, I 100
30.4 deg, I 33
34.9 deg, I 85
50.0 deg, I 31
50.4 deg, I 30
59.5 deg, I 15
59.6 deg, I 31
60.0 deg, I 15
62.5 deg, I 16
81.3 deg, I 13
84.0 deg, I 14
84.6 deg, I 14

---

# 4
For Gd8Rh5C12, a DFT-relaxed cell (GGA-PBE, Alexandria) gives the computed X-ray diffraction stick pattern in this record (a wavelength of 1.5418 Å).
Neutral-atom scattering factors, no anomalous dispersion.

Atomic structure:
```
25
Lattice="14.0486 -1.8345 0.0000 14.0486 1.8345 0.0000 -0.4658 0.0000 7.4286" Properties=species:S:1:pos:R:3 pbc="T T T"
Gd 1.1783 0.0000 2.1733
Gd 2.0698 0.0000 6.1408
Gd 5.3170 0.0000 4.5223
Gd 5.7254 0.0000 0.8955
Gd 21.9060 0.0000 6.5331
Gd 22.3145 0.0000 2.9064
Gd 25.5616 0.0000 1.2878
Gd 26.4531 0.0000 5.2553
Rh 10.3483 0.0000 6.5139
Rh 10.7517 0.0000 3.8316
Rh 14.0486 0.0000 0.0000
Rh 16.8797 0.0000 3.5970
Rh 17.2831 0.0000 0.9147
C 7.6807 0.0000 4.7083
C 8.1724 0.0000 0.9731
C 9.0149 0.0000 4.8509
C 9.5069 0.0000 0.8235
C 12.5037 0.0000 2.8636
C 13.2860 0.0000 1.8227
C 14.3455 0.0000 5.6059
C 15.1278 0.0000 4.5650
C 18.1245 0.0000 6.6051
C 18.6166 0.0000 2.5777
C 19.4590 0.0000 6.4556
C 19.9507 0.0000 2.7203
```

Peak list (12 most intense, 2θ from 10° to 90°, by angle)
26.4 deg, I 56
27.9 deg, I 32
29.1 deg, I 36
31.9 deg, I 77
33.1 deg, I 100
34.7 deg, I 71
35.3 deg, I 91
35.8 deg, I 47
36.1 deg, I 33
39.3 deg, I 27
49.1 deg, I 23
49.7 deg, I 45

---

# 5
For GdTaC2, a DFT-relaxed cell (GGA-PBE, Alexandria) gives the computed X-ray diffraction stick pattern in this record (a wavelength of 1.5418 Å).
Neutral-atom scattering factors, no anomalous dispersion.

Atomic structure:
```
4
Lattice="1.6566 0.9564 5.6572 -1.6566 0.9564 5.6572 0.0000 -1.9128 5.6572" Properties=species:S:1:pos:R:3 pbc="T T T"
Gd 0.0000 0.0000 0.0000
Ta 0.0000 0.0000 8.4858
C 0.0000 0.0000 4.0415
C 0.0000 0.0000 12.9302
```

Peak list (12 most intense, 2θ from 10° to 90°, by angle)
31.6 deg, I 38
33.0 deg, I 100
37.9 deg, I 88
53.7 deg, I 31
55.5 deg, I 29
63.7 deg, I 16
65.3 deg, I 30
66.1 deg, I 20
69.1 deg, I 15
80.9 deg, I 10
87.3 deg, I 7
89.4 deg, I 7

---

# 6
For GdTa2C, a DFT-relaxed cell (GGA-PBE, Alexandria) gives the computed X-ray diffraction stick pattern in this record (a wavelength of 1.5418 Å).
Neutral-atom scattering factors, no anomalous dispersion.

Atomic structure:
```
4
Lattice="1.5738 0.9086 8.5252 -1.5738 0.9086 8.5252 0.0000 -1.8173 8.5252" Properties=species:S:1:pos:R:3 pbc="T T T"
Gd 0.0000 0.0000 0.0000
Ta 0.0000 0.0000 3.0487
Ta 0.0000 0.0000 22.5268
C 0.0000 0.0000 12.7877
```

Peak list (12 most intense, 2θ from 10° to 90°, by angle)
10.4 deg, I 20
31.5 deg, I 50
33.0 deg, I 100
33.6 deg, I 21
35.8 deg, I 17
41.3 deg, I 35
43.6 deg, I 73
48.8 deg, I 17
58.7 deg, I 32
68.0 deg, I 16
68.1 deg, I 33
71.6 deg, I 18